1.
This entry pairs a crystal structure of Tb2PmNd6Er with its theoretical PXRD pattern. Radiation: Cu Kα, 1.54184 Å. Structure: a GGA-PBE-relaxed structure.

Most intense lines, 2θ from 10° to 90°, low angle first:
- hkl 2 2 -2, d 3.235, 27.57°, I = 35
- hkl 1 3 2, d 3.180, 28.06°, I = 66
- hkl 3 1 -1, d 2.984, 29.94°, I = 89
- hkl 0 2 3, d 2.962, 30.18°, I = 77
- hkl 1 5 0, d 2.914, 30.68°, I = 67
- hkl 2 2 2, d 2.901, 30.83°, I = 100
- hkl 2 4 -1, d 2.888, 30.97°, I = 63
- hkl 1 5 -1, d 2.821, 31.72°, I = 35
- hkl 1 3 -3, d 2.690, 33.31°, I = 67
- hkl 2 2 -3, d 2.638, 33.98°, I = 25

Cell and atoms:
Lattice parameters (Å, degrees): 9.292 15.357 9.712 90.00 97.42 90.00
Space group C2/c (No. 15)
Inequivalent atoms, fractional coordinates:
1 Tb 0.249 0.049 0.454 (multiplicity 8)
2 Pm 0.000 0.474 0.250 (multiplicity 4)
3 Nd 0.062 0.320 0.945 (multiplicity 8)
4 Nd 0.099 0.108 0.118 (multiplicity 8)
5 Nd 0.212 0.278 0.312 (multiplicity 8)
6 Er 0.000 0.089 0.750 (multiplicity 4)


2.
This entry pairs a crystal structure of PmNd4Er2Th with its theoretical PXRD pattern. Radiation: Cu Kα, 1.54184 Å. Structure: a GGA-PBE-relaxed structure.

Most intense lines, 2θ from 10° to 90°, low angle first:
- hkl 1 1 2, d 2.959, 30.20°, I = 100
- hkl 4 0 0, d 2.565, 34.98°, I = 34
- hkl 2 0 -4, d 2.558, 35.09°, I = 17
- hkl 4 2 0, d 1.813, 50.33°, I = 30
- hkl 1 3 2, d 1.547, 59.77°, I = 22
- hkl 5 1 2, d 1.544, 59.93°, I = 21
- hkl 6 2 -4, d 1.481, 62.75°, I = 6
- hkl 2 2 4, d 1.478, 62.86°, I = 6
- hkl 5 3 2, d 1.177, 81.87°, I = 12
- hkl 8 2 0, d 1.147, 84.46°, I = 7

Cell and atoms:
Lattice parameters (Å, degrees): 11.467 5.136 10.230 90.00 116.63 90.00
Space group C2/m (No. 12)
Inequivalent atoms, fractional coordinates:
1 Pm 0.000 0.000 0.000 (multiplicity 2)
2 Nd 0.248 0.500 0.622 (multiplicity 4)
3 Nd 0.249 0.000 0.872 (multiplicity 4)
4 Er 0.002 0.500 0.746 (multiplicity 4)
5 Th 0.000 0.000 0.500 (multiplicity 2)